Record 1
This entry pairs a crystal structure of Ac4HoAg5 with its simulated powder XRD pattern. Radiation: Cu Kα (λ = 1.5418 Å). Structure: the GGA-PBE geometry in Alexandria.

The 10 most intense peaks (15 to 90 degrees two-theta), in order of rising 2θ:
2θ (°)	Rel. int.	(hkl)
22.96	11	1 0 0
32.42	100	1 0 5
32.70	53	1 1 0
46.09	7	0 0 10
46.92	20	2 0 0
57.65	15	1 1 10
58.19	38	2 1 5
67.88	9	2 0 10
77.87	8	3 0 5
78.03	9	3 1 0

Atomic structure:
Unit cell a=3.873 b=3.873 c=19.695 alpha=90.00 beta=90.00 gamma=90.00
Space group P4/mmm (No. 123)
Symmetry-distinct sites (fractional):
1 Ac 0.000 0.000 0.103 (multiplicity 2)
2 Ac 0.000 0.000 0.310 (multiplicity 2)
3 Ho 0.000 0.000 0.500 (multiplicity 1)
4 Ag 0.500 0.500 0.000 (multiplicity 1)
5 Ag 0.500 0.500 0.207 (multiplicity 2)
6 Ag 0.500 0.500 0.420 (multiplicity 2)

Record 2
This entry pairs a crystal structure of AcHo3Ag4 with its simulated powder XRD pattern. Radiation: Cu Kα (λ = 1.5418 Å). Structure: the GGA-PBE geometry in Alexandria.

The 10 most intense peaks (15 to 90 degrees two-theta), in order of rising 2θ:
2θ (°)	Rel. int.	(hkl)
23.98	6	0 0 2
26.86	1	1 1 1
34.17	100	2 0 0
42.18	2	2 0 2
49.10	17	2 2 0
55.36	4	1 1 4
61.18	35	3 1 2
71.97	11	4 0 0
77.10	2	0 0 6
82.14	15	4 2 0

Atomic structure:
Unit cell a=5.246 b=5.246 c=7.426 alpha=90.00 beta=90.00 gamma=90.00
Space group P4/mmm (No. 123)
Symmetry-distinct sites (fractional):
1 Ac 0.000 0.000 0.000 (multiplicity 1)
2 Ho 0.000 0.000 0.500 (multiplicity 1)
3 Ho 0.500 0.500 0.000 (multiplicity 1)
4 Ho 0.500 0.500 0.500 (multiplicity 1)
5 Ag 0.000 0.500 0.274 (multiplicity 4)

Record 3
This entry pairs a crystal structure of AcHo2Ag6 with its simulated powder XRD pattern. Radiation: Cu Kα (λ = 1.5418 Å). Structure: the GGA-PBE geometry in Alexandria.

The 10 most intense peaks (15 to 90 degrees two-theta), in order of rising 2θ:
2θ (°)	Rel. int.	(hkl)
21.37	8	1 1 0
32.99	100	1 1 1
37.46	67	3 0 0
50.76	29	2 2 1
50.97	9	0 0 2
64.77	28	4 1 1
64.94	26	3 0 2
67.58	11	3 3 0
89.20	12	5 2 1
89.36	11	3 3 2

Atomic structure:
Unit cell a=8.3172 b=8.3172 c=3.5837 alpha=90.00 beta=90.00 gamma=120.00
Space group P6/mmm (No. 191)
Symmetry-distinct sites (fractional):
1 Ac 0.0000 0.0000 0.0000 (multiplicity 1)
2 Ho 0.3333 0.6667 0.0000 (multiplicity 2)
3 Ag 0.0000 0.3381 0.5000 (multiplicity 6)

Record 4
This entry pairs a crystal structure of Ac3Ho2Tl4Ag2 with its simulated powder XRD pattern. Radiation: Cu Kα (λ = 1.5418 Å). Structure: the GGA-PBE geometry in Alexandria.

The 10 most intense peaks (15 to 90 degrees two-theta), in order of rising 2θ:
2θ (°)	Rel. int.	(hkl)
20.79	13	0 1 1
23.08	24	0 1 2
26.49	12	1 0 3
30.67	100	0 1 4
34.96	90	1 1 0
47.18	31	2 0 4
59.96	18	1 1 8
60.05	30	1 2 4
62.70	17	3 0 0
82.02	20	3 1 4

Atomic structure:
Unit cell a=5.1331 b=5.1331 c=15.4431 alpha=90.00 beta=90.00 gamma=120.00
Space group P-3m1 (No. 164)
Symmetry-distinct sites (fractional):
1 Ac 0.0000 0.0000 0.0000 (multiplicity 1)
2 Ac 0.0000 0.0000 0.2500 (multiplicity 2)
3 Ho 0.3333 0.6667 0.5722 (multiplicity 2)
4 Tl 0.3333 0.6667 0.3680 (multiplicity 2)
5 Tl 0.3333 0.6667 0.8700 (multiplicity 2)
6 Ag 0.3333 0.6667 0.1279 (multiplicity 2)